Entry 1:
Computed powder X-ray diffraction pattern of Y5SnS5 for Cu Kα, from the PBE geometry in Alexandria.
No peak broadening, texture or thermal motion is included.

Crystal structure
```
data_Y5SnS5
_chemical_formula_sum 'Y10 Sn2 S10'
_cell_length_a 12.6656
_cell_length_b 5.6989
_cell_length_c 8.0716
_cell_angle_alpha 90.00
_cell_angle_beta 108.38
_cell_angle_gamma 90.00
_space_group_name_H-M_alt 'C 1 2/m 1'
_space_group_IT_number 12
_space_group_name_Hall '-C 2y'
loop_
_atom_site_label
_atom_site_type_symbol
_atom_site_fract_x
_atom_site_fract_y
_atom_site_fract_z
_atom_site_occupancy
Y1 Y 0.0000 0.0000 0.0000 1
Y2 Y 0.1662 0.5000 0.8186 1
Y3 Y 0.1700 0.5000 0.3465 1
Sn1 Sn 0.0000 0.5000 0.0000 1
S1 S 0.0000 0.5000 0.5000 1
S2 S 0.1681 0.0000 0.3337 1
S3 S 0.1737 0.0000 0.8428 1
```

Top 6 peaks for 2θ from 10° to 90°, by angle:
2θ/deg, Rel. int., hkl
17.2, 24.7, 1 1 0
31.4, 100.0, 0 2 0
31.5, 49.6, 4 0 -2
45.0, 52.0, 2 2 2
45.1, 35.3, 4 2 -2
74.5, 26.4, 4 4 -2



Entry 2:
Computed powder X-ray diffraction pattern of ZrSnS4 for Cu Kα, from the PBE geometry in Alexandria.
No peak broadening, texture or thermal motion is included.

Crystal structure
```
data_ZrSnS4
_chemical_formula_sum 'Zr4 Sn4 S16'
_cell_length_a 16.6360
_cell_length_b 5.0382
_cell_length_c 8.0574
_cell_angle_alpha 90.00
_cell_angle_beta 107.68
_cell_angle_gamma 90.00
_space_group_name_H-M_alt 'C 1 2/m 1'
_space_group_IT_number 12
_space_group_name_Hall '-C 2y'
loop_
_atom_site_label
_atom_site_type_symbol
_atom_site_fract_x
_atom_site_fract_y
_atom_site_fract_z
_atom_site_occupancy
Zr1 Zr 0.2032 0.0000 0.2952 1
Sn1 Sn 0.1018 0.0000 0.7018 1
S1 S 0.0635 0.0000 0.3760 1
S2 S 0.1029 0.0000 0.0109 1
S3 S 0.1484 0.5000 0.7320 1
S4 S 0.2407 0.5000 0.3417 1
```

Top 6 peaks for 2θ from 10° to 90°, by angle:
2θ/deg, Rel. int., hkl
11.5, 31.6, 0 0 1
18.5, 100.0, 1 1 0
23.2, 40.7, 0 0 2
32.3, 27.6, 6 0 -1
35.1, 26.7, 0 0 3
35.6, 43.7, 0 2 0



Repeat the first record exactly.
Computed powder X-ray diffraction pattern of Y5SnS5 for Cu Kα, from the PBE geometry in Alexandria.
No peak broadening, texture or thermal motion is included.

Crystal structure
```
data_Y5SnS5
_chemical_formula_sum 'Y10 Sn2 S10'
_cell_length_a 12.6656
_cell_length_b 5.6989
_cell_length_c 8.0716
_cell_angle_alpha 90.00
_cell_angle_beta 108.38
_cell_angle_gamma 90.00
_space_group_name_H-M_alt 'C 1 2/m 1'
_space_group_IT_number 12
_space_group_name_Hall '-C 2y'
loop_
_atom_site_label
_atom_site_type_symbol
_atom_site_fract_x
_atom_site_fract_y
_atom_site_fract_z
_atom_site_occupancy
Y1 Y 0.0000 0.0000 0.0000 1
Y2 Y 0.1662 0.5000 0.8186 1
Y3 Y 0.1700 0.5000 0.3465 1
Sn1 Sn 0.0000 0.5000 0.0000 1
S1 S 0.0000 0.5000 0.5000 1
S2 S 0.1681 0.0000 0.3337 1
S3 S 0.1737 0.0000 0.8428 1
```

Top 6 peaks for 2θ from 10° to 90°, by angle:
2θ/deg, Rel. int., hkl
17.2, 24.7, 1 1 0
31.4, 100.0, 0 2 0
31.5, 49.6, 4 0 -2
45.0, 52.0, 2 2 2
45.1, 35.3, 4 2 -2
74.5, 26.4, 4 4 -2